(1)
Diffraction record for Nb3TlPb5. The powder XRD pattern is calculated, not measured: it uses the GGA-PBE geometry in OQMD and Cu Ka.
Intensities are scaled so that the largest is 100.

Cell and atoms:
Lattice parameters (Å, degrees): 5.7367 5.7367 8.7884 90.00 90.00 120.00
Positions (direct):
Nb 0.0000 0.5000 0.0000
Nb 0.5000 0.0000 0.0000
Nb 0.5000 0.5000 0.0000
Tl 0.0000 0.0000 0.5000
Pb 0.0000 0.0000 0.0000
Pb 0.3333 0.6667 0.2972
Pb 0.3333 0.6667 0.7028
Pb 0.6667 0.3333 0.2972
Pb 0.6667 0.3333 0.7028

The 10 most intense peaks (2θ = 10–90°), by angle:
d (Å), I (rel.)
3.291, 93.5
2.929, 24.1
2.868, 100.0
2.523, 18.6
2.162, 76.3
2.049, 18.7
1.727, 31.0
1.656, 23.8
1.499, 18.9
1.434, 32.1

=====

(2)
Diffraction record for SmYGa4. The powder XRD pattern is calculated, not measured: it uses the GGA-PBE geometry in OQMD and Cu Ka.
Intensities are scaled so that the largest is 100.

Cell and atoms:
Lattice parameters (Å, degrees): 4.2844 4.2844 7.8269 90.00 90.00 120.00
Positions (direct):
Sm 0.0000 0.0000 0.0000
Y 0.0000 0.0000 0.5000
Ga 0.3333 0.6667 0.2506
Ga 0.3333 0.6667 0.7494
Ga 0.6667 0.3333 0.2545
Ga 0.6667 0.3333 0.7455

The 10 most intense peaks (2θ = 10–90°), by angle:
d (Å), I (rel.)
3.710, 6.8
3.353, 4.3
2.693, 100.0
2.142, 49.1
1.957, 12.3
1.676, 23.7
1.445, 27.0
1.320, 20.9
1.237, 8.0
1.231, 8.3

=====

(3)
Diffraction record for Sm2Y2CI3Br2. The powder XRD pattern is calculated, not measured: it uses the GGA-PBE geometry in OQMD and Cu Ka.
Intensities are scaled so that the largest is 100.

Cell and atoms:
Lattice parameters (Å, degrees): 9.4407 9.4407 8.5977 102.76 102.76 24.20
Positions (direct):
Sm 0.1372 0.1372 0.0645
Sm 0.8628 0.8628 0.9355
Y 0.4995 0.4995 0.1902
Y 0.5005 0.5005 0.8098
C 0.0000 0.0000 0.0000
I 0.0000 0.0000 0.5000
I 0.3320 0.3320 0.6510
I 0.6680 0.6680 0.3490
Br 0.3360 0.3360 0.1727
Br 0.6640 0.6640 0.8273

The 10 most intense peaks (2θ = 10–90°), by angle:
d (Å), I (rel.)
4.397, 21.0
3.212, 22.4
2.997, 42.3
2.950, 33.8
2.912, 100.0
2.665, 18.8
2.510, 16.8
2.094, 25.5
2.084, 27.4
1.979, 18.0

=====

(4)
Diffraction record for LiGd. The powder XRD pattern is calculated, not measured: it uses the GGA-PBE geometry in OQMD and Cu Ka.
Intensities are scaled so that the largest is 100.

Cell and atoms:
Lattice parameters (Å, degrees): 3.7060 3.7060 3.7060 90.00 90.00 90.00
Positions (direct):
Li 0.0000 0.0000 0.0000
Gd 0.5000 0.5000 0.5000

The 10 most intense peaks (2θ = 10–90°), by angle:
d (Å), I (rel.)
3.706, 100.0
2.621, 92.4
2.140, 30.2
1.853, 16.7
1.657, 40.9
1.513, 34.5
1.310, 10.6
1.235, 19.4
1.172, 15.0
1.117, 11.7

=====

(5)
Diffraction record for SmGa2Pd2Pt. The powder XRD pattern is calculated, not measured: it uses the GGA-PBE geometry in OQMD and Cu Ka.
Intensities are scaled so that the largest is 100.

Cell and atoms:
Lattice parameters (Å, degrees): 5.3718 5.3718 4.3969 90.00 90.00 121.18
Positions (direct):
Sm 0.0000 0.0000 0.0000
Ga 0.0000 0.5000 0.5000
Ga 0.5000 0.0000 0.5000
Pd 0.3165 0.6835 0.0000
Pd 0.6835 0.3165 0.0000
Pt 0.5000 0.5000 0.5000

The 10 most intense peaks (2θ = 10–90°), by angle:
d (Å), I (rel.)
4.596, 17.1
3.177, 51.9
2.638, 21.0
2.340, 19.3
2.298, 19.9
2.292, 100.0
2.262, 16.6
2.198, 36.7
2.037, 26.2
1.447, 23.3

=====

(6)
Diffraction record for Y5Ho3. The powder XRD pattern is calculated, not measured: it uses the GGA-PBE geometry in OQMD and Cu Ka.
Intensities are scaled so that the largest is 100.

Cell and atoms:
Lattice parameters (Å, degrees): 5.6302 7.2564 7.2564 60.00 90.00 90.00
Positions (direct):
Y 0.0000 0.0000 0.0000
Y 0.0000 0.4983 0.9988
Y 0.0000 0.9988 0.4983
Y 0.5000 0.1673 0.6656
Y 0.5000 0.6656 0.1673
Ho 0.0000 0.5000 0.5000
Ho 0.5000 0.1657 0.1657
Ho 0.5000 0.6654 0.6654

The 10 most intense peaks (2θ = 10–90°), by angle:
d (Å), I (rel.)
3.142, 24.4
2.815, 23.8
2.744, 100.0
2.097, 16.2
1.814, 20.2
1.611, 19.8
1.525, 21.9
1.513, 16.0
1.162, 13.5
1.112, 8.2

=====

(7)
Diffraction record for Mg2Sc2TlCdAg2. The powder XRD pattern is calculated, not measured: it uses the GGA-PBE geometry in OQMD and Cu Ka.
Intensities are scaled so that the largest is 100.

Cell and atoms:
Lattice parameters (Å, degrees): 4.8931 4.8931 6.8702 90.00 90.00 90.00
Positions (direct):
Mg 0.0000 0.5000 0.2434
Mg 0.5000 0.0000 0.7566
Sc 0.0000 0.5000 0.7523
Sc 0.5000 0.0000 0.2477
Tl 0.0000 0.0000 0.5000
Cd 0.5000 0.5000 0.0000
Ag 0.0000 0.0000 0.0000
Ag 0.5000 0.5000 0.5000

The 10 most intense peaks (2θ = 10–90°), by angle:
d (Å), I (rel.)
3.460, 43.4
3.435, 21.3
2.447, 50.6
2.438, 100.0
1.993, 19.1
1.730, 17.1
1.546, 16.8
1.411, 33.9
1.406, 16.7
1.094, 15.3

=====

(8)
Diffraction record for Ta2Ag3N6. The powder XRD pattern is calculated, not measured: it uses the GGA-PBE geometry in OQMD and Cu Ka.
Intensities are scaled so that the largest is 100.

Cell and atoms:
Lattice parameters (Å, degrees): 11.0649 11.0649 11.0649 160.78 160.78 27.31
Positions (direct):
Ta 0.1066 0.1066 0.0000
Ta 0.8934 0.8934 0.0000
Ag 0.3019 0.3019 0.0000
Ag 0.5000 0.5000 0.0000
Ag 0.6981 0.6981 0.0000
N 0.0685 0.5685 0.5000
N 0.1967 0.1967 0.0000
N 0.4315 0.9315 0.5000
N 0.5685 0.0685 0.5000
N 0.8033 0.8033 0.0000
N 0.9315 0.4315 0.5000

The 10 most intense peaks (2θ = 10–90°), by angle:
d (Å), I (rel.)
2.802, 100.0
2.612, 42.3
2.150, 12.0
1.847, 19.6
1.660, 23.3
1.542, 32.7
1.401, 11.8
1.337, 8.3
1.184, 6.9
1.168, 8.1

=====

(9)
Diffraction record for HfZrGa. The powder XRD pattern is calculated, not measured: it uses the GGA-PBE geometry in OQMD and Cu Ka.
Intensities are scaled so that the largest is 100.

Cell and atoms:
Lattice parameters (Å, degrees): 6.6926 5.4839 5.4068 75.83 52.61 51.56
Positions (direct):
Hf 0.1552 0.1552 0.8448
Hf 0.8448 0.8448 0.1552
Zr 0.3469 0.6531 0.3469
Zr 0.6531 0.3469 0.6531
Ga 0.2500 0.2500 0.2500
Ga 0.7500 0.7500 0.7500

The 10 most intense peaks (2θ = 10–90°), by angle:
d (Å), I (rel.)
2.694, 20.1
2.631, 100.0
2.601, 68.2
2.345, 18.7
2.336, 33.4
2.128, 29.2
2.104, 22.7
2.098, 30.0
1.543, 19.7
1.421, 21.3

=====

(10)
Diffraction record for NaNbO3. The powder XRD pattern is calculated, not measured: it uses the GGA-PBE geometry in OQMD and Cu Ka.
Intensities are scaled so that the largest is 100.

Cell and atoms:
Lattice parameters (Å, degrees): 5.5786 5.4969 15.5661 90.00 90.00 90.00
Positions (direct):
Na 0.2081 0.2389 0.0000
Na 0.2313 0.2439 0.2518
Na 0.2687 0.2439 0.7518
Na 0.2919 0.2389 0.5000
Na 0.7081 0.7611 0.0000
Na 0.7313 0.7561 0.2518
Na 0.7687 0.7561 0.7518
Na 0.7919 0.7611 0.5000
Nb 0.2280 0.7466 0.1253
Nb 0.2322 0.7421 0.8760
Nb 0.2678 0.7421 0.3760
Nb 0.2720 0.7466 0.6253
Nb 0.7280 0.2534 0.1253
Nb 0.7322 0.2579 0.8760
Nb 0.7678 0.2579 0.3760
Nb 0.7720 0.2534 0.6253
O 0.0335 0.0413 0.6005
O 0.0353 0.0433 0.3910
O 0.0466 0.4562 0.8515
O 0.0500 0.4539 0.1396
O 0.2219 0.6706 0.4967
O 0.2485 0.8255 0.7465
O 0.2515 0.8255 0.2465
O 0.2781 0.6706 0.9967
O 0.4500 0.4539 0.6396
O 0.4534 0.4562 0.3515
O 0.4647 0.0433 0.8910
O 0.4665 0.0413 0.1005
O 0.5335 0.9587 0.6005
O 0.5353 0.9567 0.3910
O 0.5466 0.5438 0.8515
O 0.5500 0.5461 0.1396
O 0.7219 0.3294 0.4967
O 0.7485 0.1745 0.7465
O 0.7515 0.1745 0.2465
O 0.7781 0.3294 0.9967
O 0.9500 0.5461 0.6396
O 0.9534 0.5438 0.3515
O 0.9647 0.9567 0.8910
O 0.9665 0.9587 0.1005

The 10 most intense peaks (2θ = 10–90°), by angle:
d (Å), I (rel.)
3.915, 85.9
3.892, 42.9
2.789, 25.9
2.760, 100.0
2.748, 26.0
1.958, 36.5
1.945, 21.2
1.742, 23.6
1.605, 18.6
1.589, 36.4

=====

(11)
Diffraction record for La3Si4Ni2Au2. The powder XRD pattern is calculated, not measured: it uses the GGA-PBE geometry in OQMD and Cu Ka.
Intensities are scaled so that the largest is 100.

Cell and atoms:
Lattice parameters (Å, degrees): 12.5542 12.5542 12.5542 160.75 160.07 27.85
Positions (direct):
La 0.0000 0.0000 0.0000
La 0.1438 0.6438 0.5000
La 0.8562 0.3562 0.5000
Si 0.3131 0.8131 0.5000
Si 0.4496 0.4496 0.0000
Si 0.5504 0.5504 0.0000
Si 0.6869 0.1869 0.5000
Ni 0.4064 0.9064 0.5000
Ni 0.5936 0.0936 0.5000
Au 0.2490 0.2490 0.0000
Au 0.7510 0.7510 0.0000

The 10 most intense peaks (2θ = 10–90°), by angle:
d (Å), I (rel.)
3.730, 10.1
3.046, 14.9
2.717, 17.5
2.705, 100.0
2.423, 13.3
2.173, 18.8
2.099, 16.9
1.509, 16.3
1.336, 13.0
1.301, 10.2

=====

(12)
Diffraction record for CuAg4. The powder XRD pattern is calculated, not measured: it uses the GGA-PBE geometry in OQMD and Cu Ka.
Intensities are scaled so that the largest is 100.

Cell and atoms:
Lattice parameters (Å, degrees): 7.0366 2.9021 8.5050 90.00 104.72 90.00
Positions (direct):
Cu 0.2019 0.0000 0.0991
Cu 0.7981 0.0000 0.9009
Ag 0.0000 0.0000 0.5000
Ag 0.0921 0.5000 0.8190
Ag 0.2976 0.5000 0.3874
Ag 0.3952 0.0000 0.6999
Ag 0.5000 0.5000 0.0000
Ag 0.6048 0.0000 0.3001
Ag 0.7024 0.5000 0.6126
Ag 0.9079 0.5000 0.1810

The 10 most intense peaks (2θ = 10–90°), by angle:
d (Å), I (rel.)
2.347, 100.0
2.050, 33.5
1.999, 14.2
1.451, 5.2
1.448, 5.1
1.431, 17.9
1.234, 11.7
1.232, 11.4
1.211, 9.1
1.172, 4.8